Diffraction record for Mn3VP4O16. The X-ray powder pattern is calculated, not measured: it uses a crystal structure in the Materials Project, relaxed with PBE+U and copper Kα.

Structure:
Cell: 4.9149 6.0030 9.9431 Å, 90.00 90.57 90.00°
Element x y z (fractional)
Mn 0.0000 0.0000 0.0000
Mn 0.1240 0.5000 0.4378
Mn 0.6197 0.0000 0.5080
V 0.5036 0.5000 0.9405
P 0.1383 0.0000 0.3249
P 0.4841 0.0000 0.8138
P 0.6448 0.5000 0.6228
P 0.9416 0.5000 0.1221
O 0.1933 0.0000 0.1752
O 0.2469 0.5000 0.0904
O 0.2833 0.2010 0.3962
O 0.2833 0.7990 0.3962
O 0.3336 0.5000 0.6042
O 0.3488 0.2067 0.8901
O 0.3488 0.7933 0.8901
O 0.3925 0.0000 0.6663
O 0.7105 0.5000 0.7768
O 0.7827 0.3055 0.0490
O 0.7827 0.6945 0.0490
O 0.7861 0.2988 0.5539
O 0.7861 0.7012 0.5539
O 0.7896 0.0000 0.8265
O 0.8273 0.0000 0.3467
O 0.8991 0.5000 0.2738

Top 10 peaks for 10° ≤ 2θ ≤ 90°, low angle first:
2theta, I/Imax
17.8, 69
20.1, 65
20.2, 51
25.0, 41
25.1, 34
29.8, 100
35.8, 42
36.1, 66
57.7, 22
61.8, 23

=====

Diffraction record for Sr4LiMn2Ga2O10. The X-ray powder pattern is calculated, not measured: it uses a crystal structure in the Materials Project, relaxed with PBE+U and copper Kα.

Structure:
Cell: 9.0491 9.0491 5.7170 Å, 108.12 108.12 127.31°
Element x y z (fractional)
Sr 0.0884 0.3798 0.4686
Sr 0.3798 0.0884 0.4686
Sr 0.6202 0.9116 0.5314
Sr 0.9116 0.6202 0.5314
Li 0.0000 0.0000 0.0000
Mn 0.0000 0.5000 0.0000
Mn 0.5000 0.0000 0.0000
Ga 0.3247 0.3247 0.9983
Ga 0.6753 0.6753 0.0017
O 0.0989 0.2852 0.9967
O 0.2505 0.7495 0.5000
O 0.2624 0.7376 0.0000
O 0.2852 0.0989 0.9967
O 0.3370 0.3370 0.6712
O 0.6630 0.6630 0.3288
O 0.7148 0.9011 0.0033
O 0.7376 0.2624 0.0000
O 0.7495 0.2505 0.5000
O 0.9011 0.7148 0.0033

Top 10 peaks for 10° ≤ 2θ ≤ 90°, low angle first:
2theta, I/Imax
22.6, 18
31.1, 87
31.3, 100
31.4, 63
40.2, 22
44.4, 31
44.7, 17
45.2, 17
55.4, 28
55.9, 19

=====

Diffraction record for Mg2SbWO6. The X-ray powder pattern is calculated, not measured: it uses a crystal structure in the Materials Project, relaxed with PBE+U and copper Kα.

Structure:
Cell: 5.5426 5.6714 5.8178 Å, 118.83 92.80 99.13°
Element x y z (fractional)
Mg 0.0000 0.0000 0.0000
Mg 0.4243 0.5754 0.0720
Sb 0.8423 0.2792 0.5598
W 0.4548 0.8590 0.7802
O 0.1742 0.6920 0.9029
O 0.3240 0.1898 0.9721
O 0.3384 0.7165 0.4344
O 0.5910 0.4994 0.7111
O 0.6811 0.9566 0.1621
O 0.7864 0.0774 0.7629

Top 10 peaks for 10° ≤ 2θ ≤ 90°, low angle first:
2theta, I/Imax
16.4, 39
17.6, 100
18.0, 36
21.9, 97
23.5, 37
25.3, 60
25.8, 51
27.1, 37
30.8, 33
32.0, 39

=====

Diffraction record for Li2Mn3VO8. The X-ray powder pattern is calculated, not measured: it uses a crystal structure in the Materials Project, relaxed with PBE+U and copper Kα.

Structure:
Cell: 8.3598 8.2565 8.7737 Å, 90.00 90.10 90.00°
Element x y z (fractional)
Li 0.0015 0.0000 0.2452
Li 0.2476 0.7433 0.4961
Li 0.2541 0.2424 0.9969
Li 0.4988 0.4916 0.2521
Li 0.5012 0.9916 0.7479
Li 0.7459 0.7424 0.0031
Li 0.7524 0.2433 0.5039
Li 0.9985 0.5000 0.7548
Mn 0.1241 0.3677 0.3731
Mn 0.1253 0.1142 0.6278
Mn 0.1270 0.8723 0.8812
Mn 0.3730 0.1182 0.3775
Mn 0.3744 0.8669 0.1326
Mn 0.3804 0.6230 0.8794
Mn 0.6196 0.1230 0.1206
Mn 0.6256 0.3669 0.8674
Mn 0.6270 0.6182 0.6225
Mn 0.8730 0.3723 0.1188
Mn 0.8747 0.6142 0.3722
Mn 0.8759 0.8677 0.6269
V 0.1262 0.6145 0.1252
V 0.3676 0.3713 0.6260
V 0.6324 0.8713 0.3740
V 0.8738 0.1145 0.8748
O 0.1093 0.6068 0.3566
O 0.1097 0.8770 0.6390
O 0.1127 0.1042 0.8747
O 0.1219 0.3932 0.1204
O 0.1416 0.1332 0.3821
O 0.1439 0.6366 0.8950
O 0.1436 0.8520 0.1252
O 0.1494 0.3575 0.6326
O 0.3628 0.1269 0.6037
O 0.3637 0.3533 0.3951
O 0.3659 0.6373 0.1291
O 0.3741 0.8609 0.9096
O 0.3841 0.1068 0.1496
O 0.3881 0.8815 0.3582
O 0.3923 0.3830 0.8553
O 0.3958 0.6054 0.6244
O 0.6042 0.1054 0.3756
O 0.6077 0.8830 0.1447
O 0.6119 0.3815 0.6418
O 0.6159 0.6068 0.8504
O 0.6259 0.3609 0.0904
O 0.6341 0.1373 0.8709
O 0.6363 0.8533 0.6049
O 0.6372 0.6269 0.3963
O 0.8506 0.8575 0.3674
O 0.8561 0.1366 0.1050
O 0.8564 0.3520 0.8748
O 0.8584 0.6332 0.6179
O 0.8781 0.8932 0.8796
O 0.8873 0.6042 0.1253
O 0.8903 0.3770 0.3610
O 0.8907 0.1068 0.6434

Top 10 peaks for 10° ≤ 2θ ≤ 90°, low angle first:
2theta, I/Imax
18.2, 100
34.2, 9
35.5, 15
35.8, 14
36.8, 10
41.2, 21
43.3, 18
43.9, 17
61.7, 11
63.3, 10

=====

Diffraction record for Li3V2Ge2O10. The X-ray powder pattern is calculated, not measured: it uses a crystal structure in the Materials Project, relaxed with PBE+U and copper Kα.

Structure:
Cell: 6.5607 6.5607 9.2803 Å, 90.00 90.00 90.28°
Element x y z (fractional)
Li 0.0000 0.0000 0.0000
Li 0.0000 0.5000 0.0000
Li 0.0000 0.5000 0.5000
Li 0.5000 0.0000 0.0000
Li 0.5000 0.0000 0.5000
Li 0.5000 0.5000 0.5000
V 0.2417 0.7583 0.6972
V 0.2583 0.7417 0.1972
V 0.7417 0.2583 0.8028
V 0.7583 0.2417 0.3028
Ge 0.2491 0.2509 0.7500
Ge 0.2509 0.2491 0.2500
Ge 0.7491 0.7509 0.7500
Ge 0.7509 0.7491 0.2500
O 0.0335 0.2477 0.8645
O 0.0344 0.2612 0.3639
O 0.2315 0.7685 0.8756
O 0.2388 0.4656 0.1361
O 0.2477 0.0335 0.1355
O 0.2523 0.4665 0.6355
O 0.2612 0.0344 0.6361
O 0.2685 0.7315 0.3756
O 0.4656 0.2388 0.8639
O 0.4665 0.2523 0.3645
O 0.5335 0.7477 0.6355
O 0.5344 0.7612 0.1361
O 0.7315 0.2685 0.6244
O 0.7388 0.9656 0.3639
O 0.7477 0.5335 0.3645
O 0.7523 0.9665 0.8645
O 0.7612 0.5344 0.8639
O 0.7685 0.2315 0.1244
O 0.9656 0.7388 0.6361
O 0.9665 0.7523 0.1355

Top 10 peaks for 10° ≤ 2θ ≤ 90°, low angle first:
2theta, I/Imax
19.1, 80
23.5, 23
27.2, 100
33.5, 80
43.6, 17
43.7, 18
56.0, 31
56.1, 10
59.8, 20
67.0, 10

=====

Diffraction record for Mg14NiCO16. The X-ray powder pattern is calculated, not measured: it uses a crystal structure in the Materials Project, relaxed with PBE+U and copper Kα.

Structure:
Cell: 8.4985 8.4985 4.2338 Å, 90.00 90.00 90.00°
Element x y z (fractional)
Mg 0.0000 0.2472 0.0000
Mg 0.0000 0.5000 0.5000
Mg 0.0000 0.7528 0.0000
Mg 0.2472 0.0000 0.0000
Mg 0.2487 0.2487 0.5000
Mg 0.2487 0.7513 0.5000
Mg 0.2509 0.5000 0.0000
Mg 0.5000 0.0000 0.5000
Mg 0.5000 0.2509 0.0000
Mg 0.5000 0.7491 0.0000
Mg 0.7491 0.5000 0.0000
Mg 0.7513 0.2487 0.5000
Mg 0.7513 0.7513 0.5000
Mg 0.7528 0.0000 0.0000
Ni 0.5000 0.5000 0.5000
C 0.0000 0.0000 0.5000
O 0.0000 0.0000 0.0000
O 0.0000 0.2514 0.5000
O 0.0000 0.5000 0.0000
O 0.0000 0.7486 0.5000
O 0.2489 0.5000 0.5000
O 0.2497 0.2497 0.0000
O 0.2497 0.7503 0.0000
O 0.2514 0.0000 0.5000
O 0.5000 0.0000 0.0000
O 0.5000 0.2489 0.5000
O 0.5000 0.5000 0.0000
O 0.5000 0.7511 0.5000
O 0.7486 0.0000 0.5000
O 0.7503 0.2497 0.0000
O 0.7503 0.7503 0.0000
O 0.7511 0.5000 0.5000

Top 10 peaks for 10° ≤ 2θ ≤ 90°, low angle first:
2theta, I/Imax
10.4, 17
23.4, 12
31.6, 8
36.7, 19
42.6, 100
42.7, 49
61.7, 28
61.9, 56
74.0, 8
78.0, 25